[1]
# Nb2CuS4
Theoretical PXRD pattern, Cu Kα, 1.54184 Å. Input: DFT lattice parameters and positions (GGA-PBE).
Peak positions follow from Bragg's law for the DFT cell and can differ from measured ones.

Structural model:
Unit cell a=11.4580 b=3.3679 c=13.1877 alpha=90.00 beta=90.00 gamma=90.00
Fractional positions:
Nb  0.0422  0.2500  0.0922
Nb  0.0652  0.2500  0.5782
Nb  0.4348  0.7500  0.0782
Nb  0.4578  0.7500  0.5922
Nb  0.5422  0.2500  0.4078
Nb  0.5652  0.2500  0.9218
Nb  0.9348  0.7500  0.4218
Nb  0.9578  0.7500  0.9078
Cu  0.1815  0.2500  0.2648
Cu  0.3185  0.7500  0.7648
Cu  0.6815  0.2500  0.2352
Cu  0.8185  0.7500  0.7352
S  0.0191  0.7500  0.7151
S  0.1107  0.2500  0.9189
S  0.1419  0.7500  0.4613
S  0.2107  0.7500  0.1467
S  0.2893  0.2500  0.6467
S  0.3581  0.2500  0.9613
S  0.3893  0.7500  0.4189
S  0.4809  0.2500  0.2151
S  0.5191  0.7500  0.7849
S  0.6107  0.2500  0.5811
S  0.6419  0.7500  0.0387
S  0.7107  0.7500  0.3533
S  0.7893  0.2500  0.8533
S  0.8581  0.2500  0.5387
S  0.8893  0.7500  0.0811
S  0.9809  0.2500  0.2849

The 6 most intense peaks (5 to 70 degrees two-theta), by angle:
- (2 0 0), 2θ = 15.48°, rel. 84
- (2 0 2), 2θ = 20.54°, rel. 43
- (2 1 0), 2θ = 30.81°, rel. 100
- (0 1 3), 2θ = 33.52°, rel. 42
- (1 1 4), 2θ = 39.03°, rel. 70
- (4 1 2), 2θ = 43.70°, rel. 47


[2]
# Nb2CuS4
Theoretical PXRD pattern, Cu Kα, 1.54184 Å. Input: DFT lattice parameters and positions (GGA-PBE).
Peak positions follow from Bragg's law for the DFT cell and can differ from measured ones.

Structural model:
Unit cell a=10.0454 b=3.3759 c=13.5184 alpha=90.00 beta=90.00 gamma=90.00
Fractional positions:
Nb  0.0195  0.2500  0.0862
Nb  0.1424  0.7500  0.3992
Nb  0.3576  0.2500  0.8992
Nb  0.4805  0.7500  0.5862
Nb  0.5195  0.2500  0.4138
Nb  0.6424  0.7500  0.1008
Nb  0.8576  0.2500  0.6008
Nb  0.9805  0.7500  0.9138
Cu  0.2077  0.2500  0.6719
Cu  0.2923  0.7500  0.1719
Cu  0.7077  0.2500  0.8281
Cu  0.7923  0.7500  0.3281
S  0.0490  0.7500  0.5820
S  0.1182  0.2500  0.8266
S  0.1387  0.2500  0.2581
S  0.1947  0.7500  0.0122
S  0.3053  0.2500  0.5122
S  0.3613  0.7500  0.7581
S  0.3818  0.7500  0.3266
S  0.4510  0.2500  0.0820
S  0.5490  0.7500  0.9180
S  0.6182  0.2500  0.6734
S  0.6387  0.2500  0.2419
S  0.6947  0.7500  0.4878
S  0.8053  0.2500  0.9878
S  0.8613  0.7500  0.7419
S  0.8818  0.7500  0.1734
S  0.9510  0.2500  0.4180

The 6 most intense peaks (5 to 70 degrees two-theta), by angle:
- (1 1 2), 2θ = 30.92°, rel. 65
- (2 1 1), 2θ = 32.64°, rel. 74
- (2 1 2), 2θ = 34.66°, rel. 61
- (2 1 3), 2θ = 37.81°, rel. 100
- (3 1 1), 2θ = 38.45°, rel. 61
- (4 1 3), 2θ = 49.55°, rel. 73


[3]
# Nb2CuS4
Theoretical PXRD pattern, Cu Kα, 1.54184 Å. Input: DFT lattice parameters and positions (GGA-PBE).
Peak positions follow from Bragg's law for the DFT cell and can differ from measured ones.

Structural model:
Unit cell a=8.2954 b=3.5467 c=17.5165 alpha=90.00 beta=90.00 gamma=90.00
Fractional positions:
Nb  0.0602  0.2500  0.1010
Nb  0.1266  0.7500  0.4713
Nb  0.3734  0.2500  0.9713
Nb  0.4398  0.7500  0.6010
Nb  0.5602  0.2500  0.3990
Nb  0.6266  0.7500  0.0287
Nb  0.8734  0.2500  0.5287
Nb  0.9398  0.7500  0.8990
Cu  0.1890  0.2500  0.7185
Cu  0.3110  0.7500  0.2185
Cu  0.6890  0.2500  0.7815
Cu  0.8110  0.7500  0.2815
S  0.0085  0.7500  0.6037
S  0.1404  0.2500  0.8571
S  0.1548  0.2500  0.2231
S  0.1624  0.7500  0.0098
S  0.3376  0.2500  0.5098
S  0.3452  0.7500  0.7231
S  0.3596  0.7500  0.3571
S  0.4915  0.2500  0.1037
S  0.5085  0.7500  0.8963
S  0.6404  0.2500  0.6429
S  0.6548  0.2500  0.2769
S  0.6624  0.7500  0.4902
S  0.8376  0.2500  0.9902
S  0.8452  0.7500  0.7769
S  0.8596  0.7500  0.1429
S  0.9915  0.2500  0.3963

The 6 most intense peaks (5 to 70 degrees two-theta), by angle:
- (0 0 2), 2θ = 10.10°, rel. 51
- (2 0 3), 2θ = 26.36°, rel. 39
- (2 0 4), 2θ = 29.67°, rel. 47
- (2 1 2), 2θ = 34.82°, rel. 100
- (3 1 1), 2θ = 41.74°, rel. 42
- (0 1 7), 2θ = 44.30°, rel. 40


[4]
# Nb2CuS4
Theoretical PXRD pattern, Cu Kα, 1.54184 Å. Input: DFT lattice parameters and positions (GGA-PBE).
Peak positions follow from Bragg's law for the DFT cell and can differ from measured ones.

Structural model:
Unit cell a=3.6042 b=3.6042 c=12.7552 alpha=90.00 beta=90.00 gamma=120.00
Fractional positions:
Nb  0.3333  0.6667  0.2811
Nb  0.6667  0.3333  0.7189
Cu  0.0000  0.0000  0.0000
S  0.3333  0.6667  0.1016
S  0.3333  0.6667  0.6240
S  0.6667  0.3333  0.3760
S  0.6667  0.3333  0.8984

The 6 most intense peaks (5 to 70 degrees two-theta), by angle:
- (0 0 3), 2θ = 20.89°, rel. 50
- (0 1 1), 2θ = 29.46°, rel. 100
- (0 1 2), 2θ = 31.92°, rel. 62
- (0 1 5), 2θ = 45.94°, rel. 37
- (1 1 0), 2θ = 50.65°, rel. 50
- (1 0 6), 2θ = 52.05°, rel. 47